Simulated PXRD pattern of PdPb2F6 for a wavelength of 1.5418 Å, from a structure optimized by DFT (PBE).

Top 8 peaks for 2θ = 5–70°, by angle:
- 2θ = 9.79°, rel. 13
- 2θ = 25.05°, rel. 100
- 2θ = 28.66°, rel. 31
- 2θ = 40.98°, rel. 13
- 2θ = 41.72°, rel. 29
- 2θ = 48.63°, rel. 35
- 2θ = 49.92°, rel. 18
- 2θ = 51.40°, rel. 16

Atomic structure:
Cell: 9.555 9.555 9.555 Å, 153.35 153.35 38.05°
Sites, in units of the cell vectors:
Pd 0.000 0.000 0.000
Pb 0.326 0.326 0.000
Pb 0.674 0.674 0.000
F 0.129 0.693 0.000
F 0.250 0.750 0.500
F 0.307 0.307 0.436
F 0.693 0.129 0.000
F 0.750 0.250 0.500
F 0.871 0.871 0.564



Simulated PXRD pattern of Ac3Mg3Zn8 for a wavelength of 1.5418 Å, from a structure optimized by DFT (PBE).

Top 8 peaks for 2θ = 5–70°, by angle:
- 2θ = 21.02°, rel. 38
- 2θ = 26.51°, rel. 38
- 2θ = 31.40°, rel. 36
- 2θ = 32.76°, rel. 100
- 2θ = 32.77°, rel. 43
- 2θ = 34.24°, rel. 32
- 2θ = 34.35°, rel. 61
- 2θ = 38.03°, rel. 42

Atomic structure:
Cell: 8.889 8.889 8.889 Å, 149.13 116.21 72.54°
Sites, in units of the cell vectors:
Ac 0.000 0.000 0.000
Ac 0.295 0.295 0.000
Ac 0.705 0.705 0.000
Mg 0.301 0.500 0.801
Mg 0.500 0.000 0.500
Mg 0.699 0.500 0.199
Zn 0.023 0.663 0.360
Zn 0.130 0.856 0.275
Zn 0.302 0.663 0.640
Zn 0.419 0.144 0.275
Zn 0.581 0.856 0.725
Zn 0.698 0.337 0.360
Zn 0.870 0.144 0.725
Zn 0.977 0.337 0.640